For K2NiAs2O6, a DFT-relaxed cell (PBE+U, Alexandria) gives the computed X-ray powder pattern in this record (Cu Kα X-rays).
Kinematic intensities with the Lorentz-polarization factor, no thermal factor.

Cell and atoms:
```
K2NiAs2O6
1.0
2.890 1.669 5.812
-2.890 1.669 5.812
0.000 -3.337 5.812
K Ni As O
2 1 2 6
Cartesian
0.000 0.000 3.805
0.000 0.000 13.633
0.000 0.000 0.000
0.000 0.000 7.491
0.000 0.000 9.947
0.000 -1.673 7.109
-1.449 0.836 7.109
-1.449 -0.836 10.328
1.449 0.836 7.109
1.449 -0.836 10.328
0.000 1.673 10.328
```

Main lines, in order of falling intensity (10 to 90 degrees two-theta):
two_theta  intensity
30.9  100
31.3  76
20.5  59
57.2  30
55.2  27
64.5  24
41.6  20
44.6  20
55.0  19
30.8  19